No. 1
Tb6Er5Sc: simulated powder diffraction line list (CuKα), based on a crystal structure in Alexandria, relaxed with PBE.
Intensities are scaled so that the largest is 100.

Main lines, sorted by position (2θ from 10° to 90°):
2θ 31.17, intensity 100
2θ 31.30, intensity 33
2θ 36.18, intensity 67
2θ 52.01, intensity 24
2θ 52.18, intensity 24
2θ 61.91, intensity 23
2θ 61.98, intensity 19
2θ 62.12, intensity 14
2θ 65.00, intensity 12
2θ 88.08, intensity 11

Cell and atoms:
```
data_Tb6Er5Sc
_chemical_formula_sum 'Tb6 Er5 Sc1'
_cell_length_a 6.089
_cell_length_b 6.089
_cell_length_c 11.610
_cell_angle_alpha 95.00
_cell_angle_beta 95.00
_cell_angle_gamma 119.95
_space_group_name_H-M_alt 'P 1'
_space_group_IT_number 1
_space_group_name_Hall 'P 1'
loop_
_atom_site_label
_atom_site_fract_x
_atom_site_fract_y
_atom_site_fract_z
_atom_site_occupancy
Tb1 0.082 0.414 0.248 1
Tb2 0.249 0.249 0.752 1
Tb3 0.414 0.082 0.248 1
Tb4 0.586 0.918 0.752 1
Tb5 0.751 0.751 0.248 1
Tb6 0.918 0.586 0.752 1
Er1 0.166 0.834 0.500 1
Er2 0.333 0.667 0.000 1
Er3 0.500 0.500 0.500 1
Er4 0.667 0.333 0.000 1
Er5 0.834 0.166 0.500 1
Sc1 0.000 0.000 0.000 1
```

***

No. 2
Pr2Ga8Ir: simulated powder diffraction line list (CuKα), based on a crystal structure in Alexandria, relaxed with PBE.
Intensities are scaled so that the largest is 100.

Main lines, sorted by position (2θ from 10° to 90°):
2θ 20.16, intensity 32
2θ 30.98, intensity 20
2θ 32.72, intensity 19
2θ 37.24, intensity 100
2θ 40.99, intensity 56
2θ 42.88, intensity 15
2θ 52.23, intensity 13
2θ 58.07, intensity 14
2θ 59.35, intensity 18
2θ 72.19, intensity 28

Cell and atoms:
```
data_Pr2Ga8Ir
_chemical_formula_sum 'Pr2 Ga8 Ir1'
_cell_length_a 4.404
_cell_length_b 4.404
_cell_length_c 11.468
_cell_angle_alpha 90.00
_cell_angle_beta 90.00
_cell_angle_gamma 90.00
_space_group_name_H-M_alt 'P 1'
_space_group_IT_number 1
_space_group_name_Hall 'P 1'
loop_
_atom_site_label
_atom_site_fract_x
_atom_site_fract_y
_atom_site_fract_z
_atom_site_occupancy
Pr1 0.000 0.000 0.195 1
Pr2 0.000 0.000 0.805 1
Ga1 0.000 0.500 0.000 1
Ga2 0.000 0.500 0.383 1
Ga3 0.000 0.500 0.617 1
Ga4 0.500 0.000 0.000 1
Ga5 0.500 0.000 0.383 1
Ga6 0.500 0.000 0.617 1
Ga7 0.500 0.500 0.195 1
Ga8 0.500 0.500 0.805 1
Ir1 0.000 0.000 0.500 1
```

***

No. 3
KZrGa2Cl8: simulated powder diffraction line list (CuKα), based on a crystal structure in Alexandria, relaxed with PBE.
Intensities are scaled so that the largest is 100.

Main lines, sorted by position (2θ from 10° to 90°):
2θ 16.99, intensity 38
2θ 18.84, intensity 100
2θ 19.61, intensity 94
2θ 24.49, intensity 34
2θ 25.32, intensity 33
2θ 28.70, intensity 42
2θ 37.16, intensity 36
2θ 37.58, intensity 30
2θ 38.26, intensity 57
2θ 46.48, intensity 37

Cell and atoms:
```
data_KZrGa2Cl8
_chemical_formula_sum 'K1 Zr1 Ga2 Cl8'
_cell_length_a 6.403
_cell_length_b 6.677
_cell_length_c 8.631
_cell_angle_alpha 88.38
_cell_angle_beta 87.90
_cell_angle_gamma 87.68
_space_group_name_H-M_alt 'P 1'
_space_group_IT_number 1
_space_group_name_Hall 'P 1'
loop_
_atom_site_label
_atom_site_fract_x
_atom_site_fract_y
_atom_site_fract_z
_atom_site_occupancy
K1 0.000 0.000 0.000 1
Zr1 0.000 0.000 0.500 1
Ga1 0.485 0.491 0.232 1
Ga2 0.515 0.509 0.768 1
Cl1 0.223 0.836 0.705 1
Cl2 0.225 0.293 0.495 1
Cl3 0.232 0.845 0.291 1
Cl4 0.303 0.358 0.002 1
Cl5 0.697 0.642 0.998 1
Cl6 0.768 0.155 0.709 1
Cl7 0.775 0.707 0.505 1
Cl8 0.777 0.164 0.295 1
```

***

No. 4
PuPaAsP: simulated powder diffraction line list (CuKα), based on a crystal structure in Alexandria, relaxed with PBE.
Intensities are scaled so that the largest is 100.

Main lines, sorted by position (2θ from 10° to 90°):
2θ 26.97, intensity 72
2θ 31.24, intensity 100
2θ 44.77, intensity 75
2θ 53.04, intensity 36
2θ 55.60, intensity 26
2θ 65.17, intensity 12
2θ 71.87, intensity 14
2θ 74.04, intensity 34
2θ 82.51, intensity 20
2θ 88.78, intensity 11

Cell and atoms:
```
data_PuPaAsP
_chemical_formula_sum 'Pu3 Pa3 As3 P3'
_cell_length_a 4.051
_cell_length_b 4.051
_cell_length_c 19.818
_cell_angle_alpha 90.00
_cell_angle_beta 90.00
_cell_angle_gamma 120.00
_space_group_name_H-M_alt 'P 1'
_space_group_IT_number 1
_space_group_name_Hall 'P 1'
loop_
_atom_site_label
_atom_site_fract_x
_atom_site_fract_y
_atom_site_fract_z
_atom_site_occupancy
Pu1 0.000 0.000 0.000 1
Pu2 0.333 0.667 0.667 1
Pu3 0.667 0.333 0.333 1
Pa1 0.000 0.000 0.492 1
Pa2 0.333 0.667 0.158 1
Pa3 0.667 0.333 0.825 1
As1 0.000 0.000 0.245 1
As2 0.333 0.667 0.911 1
As3 0.667 0.333 0.578 1
P1 0.000 0.000 0.747 1
P2 0.333 0.667 0.413 1
P3 0.667 0.333 0.080 1
```

***

No. 5
Pb7C6: simulated powder diffraction line list (CuKα), based on a crystal structure in Alexandria, relaxed with PBE.
Intensities are scaled so that the largest is 100.

Main lines, sorted by position (2θ from 10° to 90°):
2θ 15.33, intensity 100
2θ 21.88, intensity 42
2θ 30.28, intensity 62
2θ 30.95, intensity 62
2θ 33.05, intensity 39
2θ 34.19, intensity 42
2θ 35.35, intensity 50
2θ 39.86, intensity 74
2θ 40.29, intensity 29
2θ 53.36, intensity 34

Cell and atoms:
```
data_Pb7C6
_chemical_formula_sum 'Pb7 C6'
_cell_length_a 9.041
_cell_length_b 9.041
_cell_length_c 9.041
_cell_angle_alpha 44.65
_cell_angle_beta 44.65
_cell_angle_gamma 44.65
_space_group_name_H-M_alt 'P 1'
_space_group_IT_number 1
_space_group_name_Hall 'P 1'
loop_
_atom_site_label
_atom_site_fract_x
_atom_site_fract_y
_atom_site_fract_z
_atom_site_occupancy
Pb1 0.000 0.000 0.000 1
Pb2 0.081 0.081 0.555 1
Pb3 0.081 0.555 0.081 1
Pb4 0.445 0.919 0.919 1
Pb5 0.555 0.081 0.081 1
Pb6 0.919 0.445 0.919 1
Pb7 0.919 0.919 0.445 1
C1 0.176 0.176 0.176 1
C2 0.318 0.318 0.318 1
C3 0.371 0.371 0.371 1
C4 0.629 0.629 0.629 1
C5 0.682 0.682 0.682 1
C6 0.824 0.824 0.824 1
```

***

No. 6
TlCuSb2: simulated powder diffraction line list (CuKα), based on a crystal structure in Alexandria, relaxed with PBE.
Intensities are scaled so that the largest is 100.

Main lines, sorted by position (2θ from 10° to 90°):
2θ 22.29, intensity 15
2θ 31.73, intensity 100
2θ 36.20, intensity 35
2θ 36.34, intensity 70
2θ 36.57, intensity 36
2θ 45.41, intensity 18
2θ 45.58, intensity 18
2θ 59.39, intensity 33
2θ 59.66, intensity 17
2θ 59.89, intensity 16

Cell and atoms:
```
data_TlCuSb2
_chemical_formula_sum 'Tl1 Cu1 Sb2'
_cell_length_a 5.050
_cell_length_b 3.995
_cell_length_c 5.100
_cell_angle_alpha 90.00
_cell_angle_beta 103.33
_cell_angle_gamma 90.00
_space_group_name_H-M_alt 'P 1'
_space_group_IT_number 1
_space_group_name_Hall 'P 1'
loop_
_atom_site_label
_atom_site_fract_x
_atom_site_fract_y
_atom_site_fract_z
_atom_site_occupancy
Tl1 0.000 0.000 0.000 1
Cu1 0.500 0.500 0.000 1
Sb1 0.000 0.500 0.500 1
Sb2 0.500 0.000 0.500 1
```

***

No. 7
Sr2PrGa: simulated powder diffraction line list (CuKα), based on a crystal structure in Alexandria, relaxed with PBE.
Intensities are scaled so that the largest is 100.

Main lines, sorted by position (2θ from 10° to 90°):
2θ 21.85, intensity 40
2θ 26.90, intensity 64
2θ 27.23, intensity 100
2θ 29.27, intensity 24
2θ 33.29, intensity 68
2θ 36.48, intensity 100
2θ 38.24, intensity 22
2θ 47.31, intensity 48
2θ 52.68, intensity 22
2θ 57.45, intensity 26

Cell and atoms:
```
data_Sr2PrGa
_chemical_formula_sum 'Sr6 Pr3 Ga3'
_cell_length_a 3.843
_cell_length_b 3.843
_cell_length_c 36.616
_cell_angle_alpha 90.00
_cell_angle_beta 90.00
_cell_angle_gamma 120.00
_space_group_name_H-M_alt 'P 1'
_space_group_IT_number 1
_space_group_name_Hall 'P 1'
loop_
_atom_site_label
_atom_site_fract_x
_atom_site_fract_y
_atom_site_fract_z
_atom_site_occupancy
Sr1 0.000 0.000 0.102 1
Sr2 0.000 0.000 0.898 1
Sr3 0.333 0.667 0.565 1
Sr4 0.333 0.667 0.769 1
Sr5 0.667 0.333 0.231 1
Sr6 0.667 0.333 0.435 1
Pr1 0.000 0.000 0.000 1
Pr2 0.333 0.667 0.667 1
Pr3 0.667 0.333 0.333 1
Ga1 0.000 0.000 0.500 1
Ga2 0.333 0.667 0.167 1
Ga3 0.667 0.333 0.833 1
```

***

No. 8
YPaBiN2: simulated powder diffraction line list (CuKα), based on a crystal structure in Alexandria, relaxed with PBE.
Intensities are scaled so that the largest is 100.

Main lines, sorted by position (2θ from 10° to 90°):
2θ 23.37, intensity 12
2θ 30.03, intensity 100
2θ 31.91, intensity 38
2θ 45.75, intensity 18
2θ 52.10, intensity 23
2θ 55.69, intensity 36
2θ 62.40, intensity 12
2θ 66.66, intensity 16
2θ 84.58, intensity 11
2θ 89.42, intensity 12

Cell and atoms:
```
data_YPaBiN2
_chemical_formula_sum 'Y2 Pa2 Bi2 N4'
_cell_length_a 3.967
_cell_length_b 3.967
_cell_length_c 13.505
_cell_angle_alpha 90.00
_cell_angle_beta 90.00
_cell_angle_gamma 90.00
_space_group_name_H-M_alt 'P 1'
_space_group_IT_number 1
_space_group_name_Hall 'P 1'
loop_
_atom_site_label
_atom_site_fract_x
_atom_site_fract_y
_atom_site_fract_z
_atom_site_occupancy
Y1 0.000 0.000 0.000 1
Y2 0.500 0.500 0.500 1
Pa1 0.000 0.000 0.343 1
Pa2 0.500 0.500 0.843 1
Bi1 0.000 0.000 0.669 1
Bi2 0.500 0.500 0.169 1
N1 0.000 0.500 0.412 1
N2 0.000 0.500 0.912 1
N3 0.500 0.000 0.412 1
N4 0.500 0.000 0.912 1
```

***

No. 9
Ce2Zn3Ni5: simulated powder diffraction line list (CuKα), based on a crystal structure in Alexandria, relaxed with PBE.
Intensities are scaled so that the largest is 100.

Main lines, sorted by position (2θ from 10° to 90°):
2θ 28.19, intensity 40
2θ 33.88, intensity 82
2θ 35.73, intensity 100
2θ 37.30, intensity 36
2θ 39.22, intensity 81
2θ 41.87, intensity 25
2θ 44.99, intensity 81
2θ 54.93, intensity 21
2θ 59.82, intensity 22
2θ 68.53, intensity 21

Cell and atoms:
```
data_Ce2Zn3Ni5
_chemical_formula_sum 'Ce4 Zn6 Ni10'
_cell_length_a 8.376
_cell_length_b 8.376
_cell_length_c 8.376
_cell_angle_alpha 109.71
_cell_angle_beta 81.80
_cell_angle_gamma 143.65
_space_group_name_H-M_alt 'P 1'
_space_group_IT_number 1
_space_group_name_Hall 'P 1'
loop_
_atom_site_label
_atom_site_fract_x
_atom_site_fract_y
_atom_site_fract_z
_atom_site_occupancy
Ce1 0.127 0.243 0.370 1
Ce2 0.373 0.743 0.116 1
Ce3 0.627 0.257 0.884 1
Ce4 0.873 0.757 0.630 1
Zn1 0.152 0.924 0.077 1
Zn2 0.250 0.750 0.500 1
Zn3 0.348 0.424 0.772 1
Zn4 0.652 0.576 0.228 1
Zn5 0.750 0.250 0.500 1
Zn6 0.848 0.076 0.923 1
Ni1 0.055 0.750 0.305 1
Ni2 0.107 0.680 0.787 1
Ni3 0.250 0.250 0.000 1
Ni4 0.393 0.180 0.573 1
Ni5 0.445 0.750 0.695 1
Ni6 0.555 0.250 0.305 1
Ni7 0.607 0.820 0.427 1
Ni8 0.750 0.750 0.000 1
Ni9 0.893 0.320 0.213 1
Ni10 0.945 0.250 0.695 1
```

***

No. 10
Ac4CoAg2: simulated powder diffraction line list (CuKα), based on a crystal structure in Alexandria, relaxed with PBE.
Intensities are scaled so that the largest is 100.

Main lines, sorted by position (2θ from 10° to 90°):
2θ 25.37, intensity 60
2θ 26.36, intensity 47
2θ 26.93, intensity 38
2θ 28.03, intensity 100
2θ 28.84, intensity 47
2θ 31.22, intensity 48
2θ 34.55, intensity 36
2θ 35.15, intensity 73
2θ 40.47, intensity 43
2θ 54.27, intensity 36

Cell and atoms:
```
data_Ac4CoAg2
_chemical_formula_sum 'Ac8 Co2 Ag4'
_cell_length_a 15.878
_cell_length_b 4.459
_cell_length_c 6.756
_cell_angle_alpha 90.00
_cell_angle_beta 101.47
_cell_angle_gamma 90.00
_space_group_name_H-M_alt 'P 1'
_space_group_IT_number 1
_space_group_name_Hall 'P 1'
loop_
_atom_site_label
_atom_site_fract_x
_atom_site_fract_y
_atom_site_fract_z
_atom_site_occupancy
Ac1 0.074 0.000 0.267 1
Ac2 0.150 0.500 0.827 1
Ac3 0.350 0.000 0.173 1
Ac4 0.426 0.500 0.733 1
Ac5 0.574 0.500 0.267 1
Ac6 0.650 0.000 0.827 1
Ac7 0.850 0.500 0.173 1
Ac8 0.926 0.000 0.733 1
Co1 0.000 0.500 0.000 1
Co2 0.500 0.000 0.000 1
Ag1 0.233 0.500 0.360 1
Ag2 0.267 0.000 0.640 1
Ag3 0.733 0.000 0.360 1
Ag4 0.767 0.500 0.640 1
```

***

No. 11
SiB2: simulated powder diffraction line list (CuKα), based on a crystal structure in Alexandria, relaxed with PBE.
Intensities are scaled so that the largest is 100.

Main lines, sorted by position (2θ from 10° to 90°):
2θ 26.80, intensity 68
2θ 29.83, intensity 37
2θ 30.84, intensity 50
2θ 31.45, intensity 50
2θ 35.13, intensity 100
2θ 38.52, intensity 69
2θ 42.41, intensity 39
2θ 46.01, intensity 39
2θ 49.07, intensity 30
2θ 55.21, intensity 46

Cell and atoms:
```
data_SiB2
_chemical_formula_sum 'Si2 B4'
_cell_length_a 3.214
_cell_length_b 3.347
_cell_length_c 5.794
_cell_angle_alpha 90.08
_cell_angle_beta 100.69
_cell_angle_gamma 96.24
_space_group_name_H-M_alt 'P 1'
_space_group_IT_number 1
_space_group_name_Hall 'P 1'
loop_
_atom_site_label
_atom_site_fract_x
_atom_site_fract_y
_atom_site_fract_z
_atom_site_occupancy
Si1 0.192 0.470 0.344 1
Si2 0.808 0.530 0.656 1
B1 0.151 0.966 0.148 1
B2 0.407 0.253 0.946 1
B3 0.593 0.747 0.054 1
B4 0.849 0.034 0.852 1
```

***

No. 12
CaPr7Tl4: simulated powder diffraction line list (CuKα), based on a crystal structure in Alexandria, relaxed with PBE.
Intensities are scaled so that the largest is 100.

Main lines, sorted by position (2θ from 10° to 90°):
2θ 16.45, intensity 25
2θ 27.62, intensity 50
2θ 28.58, intensity 35
2θ 29.88, intensity 94
2θ 32.00, intensity 67
2θ 33.73, intensity 35
2θ 35.15, intensity 100
2θ 39.20, intensity 23
2θ 41.14, intensity 35
2θ 56.51, intensity 26

Cell and atoms:
```
data_CaPr7Tl4
_chemical_formula_sum 'Ca1 Pr7 Tl4'
_cell_length_a 8.008
_cell_length_b 8.008
_cell_length_c 10.877
_cell_angle_alpha 120.69
_cell_angle_beta 120.69
_cell_angle_gamma 43.85
_space_group_name_H-M_alt 'P 1'
_space_group_IT_number 1
_space_group_name_Hall 'P 1'
loop_
_atom_site_label
_atom_site_fract_x
_atom_site_fract_y
_atom_site_fract_z
_atom_site_occupancy
Ca1 0.000 0.000 0.000 1
Pr1 0.060 0.060 0.392 1
Pr2 0.206 0.206 0.880 1
Pr3 0.280 0.280 0.347 1
Pr4 0.500 0.500 0.000 1
Pr5 0.720 0.720 0.653 1
Pr6 0.794 0.794 0.120 1
Pr7 0.940 0.940 0.608 1
Tl1 0.314 0.314 0.669 1
Tl2 0.439 0.439 0.245 1
Tl3 0.561 0.561 0.755 1
Tl4 0.686 0.686 0.331 1
```

***

> What is the formula in the first record?

Tb6Er5Sc